Diffraction record for La4CeSb5. The X-ray diffraction stick pattern is theoretical, not measured: it uses a crystal structure in Alexandria, relaxed with PBE and Cu Ka.
Neutral-atom scattering factors, no anomalous dispersion.

Top 8 peaks for 2θ = 10–90°, by angle:
| d (Å) | 2theta | I (rel.) |
| --- | --- | --- |
| 3.759 | 23.67 | 1 |
| 3.256 | 27.39 | 100 |
| 2.302 | 39.13 | 77 |
| 1.880 | 48.42 | 28 |
| 1.628 | 56.53 | 13 |
| 1.456 | 63.94 | 36 |
| 1.329 | 70.90 | 26 |
| 1.151 | 84.09 | 8 |

Structural model:
a b c (Å): 12.183 12.183 12.183
angles (deg): 158.21 149.01 38.20
Fractional coordinates of all 10 atoms:
La1 0.100 0.100 0.000
La2 0.301 0.301 0.000
La3 0.699 0.699 0.000
La4 0.900 0.900 0.000
Ce1 0.500 0.500 0.000
Sb1 0.000 0.500 0.500
Sb2 0.201 0.701 0.500
Sb3 0.403 0.903 0.500
Sb4 0.597 0.097 0.500
Sb5 0.799 0.299 0.500

=====

Diffraction record for Ba12Pt2Au5. The X-ray diffraction stick pattern is theoretical, not measured: it uses a crystal structure in Alexandria, relaxed with PBE and Cu Ka.
Neutral-atom scattering factors, no anomalous dispersion.

Top 10 peaks for 2θ = 10–90°, by angle:
| d (Å) | 2theta | I (rel.) |
| --- | --- | --- |
| 5.498 | 16.12 | 56 |
| 3.546 | 25.11 | 71 |
| 3.472 | 25.66 | 100 |
| 3.064 | 29.14 | 37 |
| 2.910 | 30.72 | 75 |
| 2.534 | 35.42 | 65 |
| 2.430 | 36.99 | 31 |
| 2.388 | 37.67 | 32 |
| 2.287 | 39.39 | 50 |
| 2.221 | 40.62 | 35 |

Structural model:
a b c (Å): 9.750 9.750 11.472
angles (deg): 104.56 104.56 55.97
Fractional coordinates of all 19 atoms:
Ba1 0.037 0.037 0.333
Ba2 0.062 0.573 0.353
Ba3 0.121 0.615 0.985
Ba4 0.385 0.879 0.015
Ba5 0.427 0.938 0.647
Ba6 0.448 0.448 0.665
Ba7 0.552 0.552 0.335
Ba8 0.573 0.062 0.353
Ba9 0.615 0.121 0.985
Ba10 0.879 0.385 0.015
Ba11 0.938 0.427 0.647
Ba12 0.963 0.963 0.667
Pt1 0.252 0.748 0.500
Pt2 0.748 0.252 0.500
Au1 0.212 0.212 0.875
Au2 0.242 0.242 0.484
Au3 0.500 0.500 0.000
Au4 0.758 0.758 0.516
Au5 0.788 0.788 0.125

=====

Diffraction record for Dy2TlOsO8. The X-ray diffraction stick pattern is theoretical, not measured: it uses a crystal structure in Alexandria, relaxed with PBE and Cu Ka.
Neutral-atom scattering factors, no anomalous dispersion.

Top 10 peaks for 2θ = 10–90°, by angle:
| d (Å) | 2theta | I (rel.) |
| --- | --- | --- |
| 3.556 | 25.04 | 52 |
| 3.417 | 26.08 | 45 |
| 2.869 | 31.17 | 100 |
| 2.464 | 36.46 | 27 |
| 1.891 | 48.11 | 37 |
| 1.848 | 49.31 | 34 |
| 1.581 | 58.38 | 11 |
| 1.489 | 62.35 | 19 |
| 1.435 | 65.01 | 12 |
| 1.295 | 73.04 | 9 |

Structural model:
a b c (Å): 4.932 4.932 7.058
angles (deg): 90.00 90.00 92.29
Fractional coordinates of all 12 atoms:
Dy1 0.000 0.000 0.248
Dy2 0.000 0.000 0.752
Tl1 0.500 0.500 0.500
Os1 0.500 0.500 0.000
O1 0.196 0.196 0.500
O2 0.223 0.223 0.000
O3 0.315 0.685 0.196
O4 0.315 0.685 0.804
O5 0.685 0.315 0.196
O6 0.685 0.315 0.804
O7 0.777 0.777 0.000
O8 0.804 0.804 0.500

=====

Diffraction record for Be3Rh2. The X-ray diffraction stick pattern is theoretical, not measured: it uses a crystal structure in Alexandria, relaxed with PBE and Cu Ka.
Neutral-atom scattering factors, no anomalous dispersion.

Top 10 peaks for 2θ = 10–90°, by angle:
| d (Å) | 2theta | I (rel.) |
| --- | --- | --- |
| 3.774 | 23.58 | 84 |
| 3.210 | 27.79 | 64 |
| 2.735 | 32.74 | 100 |
| 2.281 | 39.51 | 55 |
| 2.231 | 40.43 | 79 |
| 2.154 | 41.94 | 53 |
| 2.003 | 45.26 | 35 |
| 1.959 | 46.35 | 63 |
| 1.887 | 48.23 | 30 |
| 1.322 | 71.34 | 35 |

Structural model:
a b c (Å): 6.080 4.555 6.843
angles (deg): 60.59 40.74 78.67
Fractional coordinates of all 10 atoms:
Be1 0.000 0.000 0.000
Be2 0.250 0.250 0.250
Be3 0.436 0.793 0.333
Be4 0.793 0.436 0.438
Be5 0.812 0.917 0.457
Be6 0.917 0.812 0.814
Rh1 0.243 0.501 0.864
Rh2 0.386 0.858 0.007
Rh3 0.501 0.243 0.392
Rh4 0.858 0.386 0.749